Structure and theoretical X-ray diffraction stick pattern of CuSbMo2O8 (a DFT-relaxed cell (GGA+U, the Materials Project); CuKα).

Main lines, low angle first (10 to 80 degrees two-theta):
- 2θ 25.63, I = 41
- 2θ 28.48, I = 100
- 2θ 29.65, I = 55
- 2θ 31.83, I = 13
- 2θ 32.37, I = 11
- 2θ 32.91, I = 27
- 2θ 36.21, I = 14
- 2θ 44.83, I = 13
- 2θ 49.37, I = 19
- 2θ 49.73, I = 17
- 2θ 52.16, I = 14
- 2θ 55.38, I = 19

Atomic structure:
Lattice parameters (Å, degrees): 11.366 11.366 5.635 100.73 100.73 25.21
Sites, in units of the cell vectors:
Cu (0.000, 0.500, 0.000)
Cu (0.500, 0.000, 0.500)
Sb (0.191, 0.809, 0.250)
Sb (0.809, 0.191, 0.750)
Mo (0.121, 0.605, 0.723)
Mo (0.395, 0.879, 0.777)
Mo (0.605, 0.121, 0.223)
Mo (0.879, 0.395, 0.277)
O (0.039, 0.857, 0.881)
O (0.121, 0.201, 0.962)
O (0.143, 0.961, 0.619)
O (0.201, 0.121, 0.462)
O (0.211, 0.368, 0.711)
O (0.361, 0.432, 0.514)
O (0.368, 0.211, 0.211)
O (0.432, 0.361, 0.014)
O (0.568, 0.639, 0.986)
O (0.632, 0.789, 0.789)
O (0.639, 0.568, 0.486)
O (0.789, 0.632, 0.289)
O (0.799, 0.879, 0.538)
O (0.857, 0.039, 0.381)
O (0.879, 0.799, 0.038)
O (0.961, 0.143, 0.119)


Structure and theoretical X-ray diffraction stick pattern of Ti3Fe3O (a DFT-relaxed cell (GGA+U, the Materials Project); CuKα).

Main lines, low angle first (10 to 80 degrees two-theta):
- 2θ 13.30, I = 8
- 2θ 33.89, I = 5
- 2θ 38.24, I = 29
- 2θ 40.66, I = 100
- 2θ 44.45, I = 27
- 2θ 46.60, I = 5
- 2θ 47.30, I = 12
- 2θ 52.66, I = 8
- 2θ 55.19, I = 5
- 2θ 69.13, I = 27
- 2θ 70.77, I = 6
- 2θ 75.59, I = 6

Atomic structure:
Lattice parameters (Å, degrees): 8.153 8.153 8.153 60.00 60.00 60.00
Sites, in units of the cell vectors:
Ti (0.057, 0.057, 0.693)
Ti (0.057, 0.693, 0.057)
Ti (0.057, 0.693, 0.693)
Ti (0.307, 0.307, 0.943)
Ti (0.307, 0.943, 0.307)
Ti (0.307, 0.943, 0.943)
Ti (0.693, 0.057, 0.057)
Ti (0.693, 0.057, 0.693)
Ti (0.693, 0.693, 0.057)
Ti (0.943, 0.307, 0.307)
Ti (0.943, 0.307, 0.943)
Ti (0.943, 0.943, 0.307)
Fe (0.000, 0.500, 0.500)
Fe (0.290, 0.290, 0.290)
Fe (0.290, 0.290, 0.629)
Fe (0.290, 0.629, 0.290)
Fe (0.371, 0.710, 0.710)
Fe (0.500, 0.000, 0.500)
Fe (0.500, 0.500, 0.000)
Fe (0.500, 0.500, 0.500)
Fe (0.629, 0.290, 0.290)
Fe (0.710, 0.371, 0.710)
Fe (0.710, 0.710, 0.371)
Fe (0.710, 0.710, 0.710)
O (0.000, 0.000, 0.000)
O (0.000, 0.000, 0.500)
O (0.000, 0.500, 0.000)
O (0.500, 0.000, 0.000)


Structure and theoretical X-ray diffraction stick pattern of Ca3MnS2O17 (a DFT-relaxed cell (GGA+U, the Materials Project); CuKα).

Main lines, low angle first (10 to 80 degrees two-theta):
- 2θ 11.32, I = 40
- 2θ 14.33, I = 32
- 2θ 14.47, I = 19
- 2θ 19.57, I = 33
- 2θ 19.88, I = 63
- 2θ 24.43, I = 29
- 2θ 26.42, I = 48
- 2θ 26.65, I = 100
- 2θ 35.20, I = 24
- 2θ 38.90, I = 17
- 2θ 40.39, I = 23
- 2θ 54.91, I = 23

Atomic structure:
Lattice parameters (Å, degrees): 10.094 8.934 8.934 118.97 90.00 90.00
Sites, in units of the cell vectors:
Ca (0.250, 0.073, 0.927)
Ca (0.250, 0.079, 0.378)
Ca (0.250, 0.542, 0.363)
Ca (0.750, 0.363, 0.542)
Ca (0.750, 0.378, 0.079)
Ca (0.750, 0.927, 0.073)
Mn (0.000, 0.184, 0.184)
Mn (0.500, 0.184, 0.184)
S (0.028, 0.900, 0.565)
S (0.472, 0.900, 0.565)
S (0.528, 0.565, 0.900)
S (0.972, 0.565, 0.900)
O (0.076, 0.938, 0.427)
O (0.079, 0.728, 0.526)
O (0.084, 0.032, 0.733)
O (0.103, 0.333, 0.388)
O (0.113, 0.022, 0.132)
O (0.114, 0.318, 0.135)
O (0.117, 0.573, 0.906)
O (0.250, 0.204, 0.720)
O (0.250, 0.731, 0.708)
O (0.250, 0.765, 0.262)
O (0.383, 0.573, 0.906)
O (0.386, 0.318, 0.135)
O (0.387, 0.022, 0.132)
O (0.397, 0.333, 0.388)
O (0.416, 0.032, 0.733)
O (0.421, 0.728, 0.526)
O (0.424, 0.938, 0.427)
O (0.576, 0.427, 0.938)
O (0.579, 0.526, 0.728)
O (0.584, 0.733, 0.032)
O (0.603, 0.388, 0.333)
O (0.613, 0.132, 0.022)
O (0.614, 0.135, 0.318)
O (0.617, 0.906, 0.573)
O (0.750, 0.262, 0.765)
O (0.750, 0.708, 0.731)
O (0.750, 0.720, 0.204)
O (0.883, 0.906, 0.573)
O (0.886, 0.135, 0.318)
O (0.887, 0.132, 0.022)
O (0.897, 0.388, 0.333)
O (0.916, 0.733, 0.032)
O (0.921, 0.526, 0.728)
O (0.924, 0.427, 0.938)


Structure and theoretical X-ray diffraction stick pattern of MgMn6Nb4O18 (a DFT-relaxed cell (GGA+U, the Materials Project); CuKα).

Main lines, low angle first (10 to 80 degrees two-theta):
- 2θ 19.18, I = 47
- 2θ 22.78, I = 34
- 2θ 31.30, I = 100
- 2θ 33.54, I = 70
- 2θ 38.48, I = 14
- 2θ 46.53, I = 40
- 2θ 50.89, I = 40
- 2θ 58.57, I = 36
- 2θ 59.96, I = 29
- 2θ 67.57, I = 11
- 2θ 70.48, I = 9
- 2θ 79.13, I = 12

Atomic structure:
Lattice parameters (Å, degrees): 5.344 5.344 14.531 90.00 90.00 120.00
Sites, in units of the cell vectors:
Mg (0.000, 0.000, 0.000)
Mn (0.000, 0.000, 0.307)
Mn (0.000, 0.000, 0.789)
Mn (0.333, 0.667, 0.016)
Mn (0.333, 0.667, 0.280)
Mn (0.333, 0.667, 0.485)
Mn (0.333, 0.667, 0.794)
Nb (0.667, 0.333, 0.161)
Nb (0.667, 0.333, 0.447)
Nb (0.667, 0.333, 0.659)
Nb (0.667, 0.333, 0.943)
O (0.004, 0.677, 0.896)
O (0.028, 0.371, 0.392)
O (0.323, 0.326, 0.896)
O (0.343, 0.972, 0.392)
O (0.345, 0.318, 0.222)
O (0.358, 0.023, 0.723)
O (0.378, 0.062, 0.049)
O (0.428, 0.404, 0.545)
O (0.596, 0.023, 0.545)
O (0.629, 0.657, 0.392)
O (0.665, 0.642, 0.723)
O (0.674, 0.996, 0.896)
O (0.682, 0.027, 0.222)
O (0.684, 0.622, 0.049)
O (0.938, 0.316, 0.049)
O (0.973, 0.655, 0.222)
O (0.977, 0.335, 0.723)
O (0.977, 0.572, 0.545)


Structure and theoretical X-ray diffraction stick pattern of FeS2NO8 (a DFT-relaxed cell (GGA+U, the Materials Project); CuKα).

Main lines, low angle first (10 to 80 degrees two-theta):
- 2θ 10.30, I = 91
- 2θ 23.26, I = 100
- 2θ 29.50, I = 46
- 2θ 36.44, I = 25
- 2θ 37.84, I = 6
- 2θ 47.41, I = 9
- 2θ 47.56, I = 14
- 2θ 56.87, I = 8
- 2θ 58.15, I = 10
- 2θ 61.36, I = 9
- 2θ 65.57, I = 7
- 2θ 66.34, I = 7

Atomic structure:
Lattice parameters (Å, degrees): 4.932 4.932 8.585 90.00 90.00 120.00
Sites, in units of the cell vectors:
Fe (0.000, 0.000, 0.000)
S (0.333, 0.667, 0.208)
S (0.667, 0.333, 0.792)
N (0.000, 0.000, 0.500)
O (0.087, 0.355, 0.147)
O (0.267, 0.913, 0.147)
O (0.333, 0.667, 0.377)
O (0.355, 0.087, 0.853)
O (0.645, 0.733, 0.147)
O (0.667, 0.333, 0.623)
O (0.733, 0.645, 0.853)
O (0.913, 0.267, 0.853)